Record 1
Starting from the PBE geometry in Alexandria, the powder diffraction line list of PrDySc2Tl4 was simulated for Cu Kα, 1.54184 Å.
No peak broadening, texture or thermal motion is included.

Structural model:
Unit cell a=5.2900 b=5.2900 c=26.0031 alpha=90.00 beta=90.00 gamma=120.00
Space group R-3m (No. 166, hexagonal axes)
Unique sites:
Pr 0.0000 0.0000 0.0000 [3 per cell]
Dy 0.0000 0.0000 0.5000 [3 per cell]
Sc 0.0000 0.0000 0.2496 [6 per cell]
Tl 0.0000 0.0000 0.1270 [6 per cell]
Tl 0.0000 0.0000 0.3773 [6 per cell]

Largest 8 diffraction maxima, sorted by position, 10° ≤ 2θ ≤ 90°:
(0 1 2), 20.5°, d = 4.324 Å, intensity 7
(1 0 4), 23.8°, d = 3.745 Å, intensity 14
(1 1 0), 33.9°, d = 2.648 Å, intensity 100
(2 0 8), 48.6°, d = 1.872 Å, intensity 18
(1 0 16), 60.4°, d = 1.532 Å, intensity 9
(3 0 0), 60.6°, d = 1.528 Å, intensity 28
(2 1 16), 81.2°, d = 1.185 Å, intensity 8
(3 1 8), 81.3°, d = 1.183 Å, intensity 8


Record 2
Starting from the PBE geometry in Alexandria, the powder diffraction line list of PrDy2Tm4Sc was simulated for Cu Kα, 1.54184 Å.
No peak broadening, texture or thermal motion is included.

Structural model:
Unit cell a=12.0965 b=7.0141 c=12.1051 alpha=90.00 beta=109.32 gamma=90.00
Space group C2/m (No. 12)
Unique sites:
Pr 0.0000 0.0000 0.0000 [2 per cell]
Pr 0.0000 0.0000 0.5000 [2 per cell]
Dy 0.0000 0.5000 0.0000 [2 per cell]
Dy 0.0000 0.5000 0.5000 [2 per cell]
Dy 0.2500 0.2500 0.0000 [4 per cell]
Tm 0.0010 0.2510 0.2520 [8 per cell]
Tm 0.2491 0.5000 0.7451 [4 per cell]
Tm 0.2499 0.0000 0.7452 [4 per cell]
Sc 0.2500 0.2500 0.5000 [4 per cell]

Largest 8 diffraction maxima, sorted by position, 10° ≤ 2θ ≤ 90°:
(4 0 0), 31.3°, d = 2.857 Å, intensity 100
(2 2 2), 36.3°, d = 2.477 Å, intensity 34
(4 0 -4), 36.4°, d = 2.468 Å, intensity 17
(6 2 -2), 52.3°, d = 1.749 Å, intensity 30
(4 4 0), 62.2°, d = 1.493 Å, intensity 28
(8 0 -4), 62.4°, d = 1.489 Å, intensity 14
(4 4 -4), 65.3°, d = 1.429 Å, intensity 9
(8 4 -4), 85.6°, d = 1.135 Å, intensity 12


Record 3
Starting from the PBE geometry in Alexandria, the powder diffraction line list of Pr2Dy4YSc was simulated for Cu Kα, 1.54184 Å.
No peak broadening, texture or thermal motion is included.

Structural model:
Unit cell a=5.0435 b=5.0435 c=10.0023 alpha=90.00 beta=90.00 gamma=90.00
Space group P4/mmm (No. 123)
Unique sites:
Pr 0.0000 0.0000 0.0000 [1 per cell]
Pr 0.5000 0.5000 0.5000 [1 per cell]
Dy 0.0000 0.5000 0.2448 [4 per cell]
Y 0.0000 0.0000 0.5000 [1 per cell]
Sc 0.5000 0.5000 0.0000 [1 per cell]

Largest 8 diffraction maxima, sorted by position, 10° ≤ 2θ ≤ 90°:
(1 1 2), 30.8°, d = 2.904 Å, intensity 100
(2 0 0), 35.6°, d = 2.522 Å, intensity 34
(0 0 4), 35.9°, d = 2.501 Å, intensity 16
(2 2 0), 51.2°, d = 1.783 Å, intensity 12
(2 0 4), 51.5°, d = 1.776 Å, intensity 23
(3 1 2), 61.0°, d = 1.519 Å, intensity 28
(1 1 6), 61.4°, d = 1.510 Å, intensity 14
(2 2 4), 64.1°, d = 1.452 Å, intensity 12


Record 4
Starting from the PBE geometry in Alexandria, the powder diffraction line list of PrDyY2Sc4 was simulated for Cu Kα, 1.54184 Å.
No peak broadening, texture or thermal motion is included.

Structural model:
Unit cell a=6.5712 b=11.3404 c=12.6818 alpha=90.00 beta=90.00 gamma=90.00
Space group Imma (No. 74)
Unique sites:
Pr 0.2500 0.2500 0.2500 [4 per cell]
Dy 0.0000 0.0000 0.0000 [4 per cell]
Y 0.0000 0.0000 0.5000 [4 per cell]
Y 0.2500 0.2500 0.7500 [4 per cell]
Sc 0.0000 0.0003 0.2488 [8 per cell]
Sc 0.2481 0.2500 0.9989 [8 per cell]

Largest 8 diffraction maxima, sorted by position, 10° ≤ 2θ ≤ 90°:
(0 2 2), 21.0°, d = 4.227 Å, intensity 37
(0 0 4), 28.1°, d = 3.170 Å, intensity 45
(2 0 2), 30.6°, d = 2.917 Å, intensity 15
(2 2 0), 31.5°, d = 2.840 Å, intensity 100
(2 2 4), 42.7°, d = 2.116 Å, intensity 84
(2 6 0), 56.1°, d = 1.638 Å, intensity 12
(2 6 4), 64.0°, d = 1.455 Å, intensity 16
(2 2 8), 67.7°, d = 1.384 Å, intensity 21


Record 5
Starting from the PBE geometry in Alexandria, the powder diffraction line list of PrDy5Y2Sc was simulated for Cu Kα, 1.54184 Å.
No peak broadening, texture or thermal motion is included.

Structural model:
Unit cell a=5.6021 b=19.6941 c=10.4113 alpha=90.00 beta=90.00 gamma=90.00
Space group Cmc2_1 (No. 36)
Unique sites:
Pr 0.0000 0.0857 0.0000 [4 per cell]
Dy 0.0000 0.0187 0.2840 [4 per cell]
Dy 0.0000 0.1228 0.5651 [4 per cell]
Dy 0.0000 0.2023 0.2503 [4 per cell]
Dy 0.0000 0.2220 0.8663 [4 per cell]
Dy 0.0000 0.4801 0.5660 [4 per cell]
Y 0.0000 0.3865 0.2788 [4 per cell]
Y 0.0000 0.3886 0.8610 [4 per cell]
Sc 0.0000 0.3027 0.5593 [4 per cell]

Largest 8 diffraction maxima, sorted by position, 10° ≤ 2θ ≤ 90°:
(1 3 2), 27.0°, d = 3.297 Å, intensity 18
(0 6 1), 28.5°, d = 3.130 Å, intensity 21
(1 1 3), 30.6°, d = 2.918 Å, intensity 41
(2 0 0), 32.0°, d = 2.801 Å, intensity 47
(1 5 2), 32.7°, d = 2.740 Å, intensity 100
(2 6 1), 43.3°, d = 2.087 Å, intensity 14
(3 5 2), 57.4°, d = 1.605 Å, intensity 25
(2 6 5), 62.4°, d = 1.489 Å, intensity 14


Record 6
Starting from the PBE geometry in Alexandria, the powder diffraction line list of PrDyY2Sc was simulated for Cu Kα, 1.54184 Å.
No peak broadening, texture or thermal motion is included.

Structural model:
Unit cell a=8.2431 b=11.2944 c=7.1509 alpha=90.00 beta=90.00 gamma=90.00
Space group Cmcm (No. 63)
Unique sites:
Pr 0.0000 0.2321 0.2500 [4 per cell]
Dy 0.0000 0.2345 0.7500 [4 per cell]
Y 0.1980 0.0000 0.0000 [8 per cell]
Sc 0.0000 0.4952 0.2500 [4 per cell]

Largest 8 diffraction maxima, sorted by position, 10° ≤ 2θ ≤ 90°:
(2 2 0), 26.8°, d = 3.329 Å, intensity 100
(0 2 2), 29.6°, d = 3.021 Å, intensity 93
(0 4 0), 31.7°, d = 2.824 Å, intensity 52
(2 0 2), 33.2°, d = 2.701 Å, intensity 89
(2 4 2), 46.5°, d = 1.952 Å, intensity 61
(0 0 4), 51.1°, d = 1.787 Å, intensity 25
(0 6 2), 55.2°, d = 1.665 Å, intensity 24
(0 4 4), 61.4°, d = 1.510 Å, intensity 25


Record 7
Starting from the PBE geometry in Alexandria, the powder diffraction line list of Pr2Dy5YSc was simulated for Cu Kα, 1.54184 Å.
No peak broadening, texture or thermal motion is included.

Structural model:
Unit cell a=8.5150 b=8.5150 c=15.9047 alpha=90.00 beta=90.00 gamma=90.00
Space group I4/mcm (No. 140)
Unique sites:
Pr 0.1209 0.3791 0.0000 [8 per cell]
Dy 0.0000 0.0000 0.0000 [4 per cell]
Dy 0.2116 0.2884 0.3562 [16 per cell]
Y 0.0000 0.0000 0.2500 [4 per cell]
Sc 0.0000 0.5000 0.2500 [4 per cell]

Largest 8 diffraction maxima, sorted by position, 10° ≤ 2θ ≤ 90°:
(2 1 3), 28.9°, d = 3.093 Å, intensity 74
(2 2 0), 29.7°, d = 3.011 Å, intensity 53
(2 0 4), 30.8°, d = 2.906 Å, intensity 100
(3 1 0), 33.3°, d = 2.693 Å, intensity 24
(3 2 1), 38.5°, d = 2.336 Å, intensity 20
(0 0 8), 45.6°, d = 1.989 Å, intensity 18
(4 1 3), 47.2°, d = 1.924 Å, intensity 18
(4 2 4), 53.3°, d = 1.717 Å, intensity 21


Record 8
Starting from the PBE geometry in Alexandria, the powder diffraction line list of Pr5Dy2YSc was simulated for Cu Kα, 1.54184 Å.
No peak broadening, texture or thermal motion is included.

Structural model:
Unit cell a=5.4203 b=22.0139 c=10.3088 alpha=90.00 beta=90.00 gamma=90.00
Space group Cmc2_1 (No. 36)
Unique sites:
Pr 0.0000 0.0001 0.0000 [4 per cell]
Pr 0.0000 0.1272 0.2498 [4 per cell]
Pr 0.0000 0.2217 0.5613 [4 per cell]
Pr 0.0000 0.2222 0.9373 [4 per cell]
Pr 0.0000 0.4993 0.7499 [4 per cell]
Dy 0.0000 0.3843 0.4973 [4 per cell]
Dy 0.0000 0.3847 0.0025 [4 per cell]
Y 0.0000 0.1022 0.7498 [4 per cell]
Sc 0.0000 0.2879 0.2493 [4 per cell]

Largest 8 diffraction maxima, sorted by position, 10° ≤ 2θ ≤ 90°:
(1 3 2), 26.8°, d = 3.329 Å, intensity 37
(1 5 2), 31.4°, d = 2.848 Å, intensity 100
(0 8 0), 32.5°, d = 2.752 Å, intensity 15
(2 0 0), 33.1°, d = 2.710 Å, intensity 33
(0 0 4), 34.8°, d = 2.577 Å, intensity 17
(2 0 4), 48.8°, d = 1.868 Å, intensity 13
(3 5 2), 58.0°, d = 1.590 Å, intensity 17
(1 13 2), 60.0°, d = 1.542 Å, intensity 14


Record 9
Starting from the PBE geometry in Alexandria, the powder diffraction line list of Pr3Dy2Y6Sc was simulated for Cu Kα, 1.54184 Å.
No peak broadening, texture or thermal motion is included.

Structural model:
Unit cell a=6.2078 b=10.7488 c=11.8239 alpha=90.00 beta=100.06 gamma=90.00
Space group C2/m (No. 12)
Unique sites:
Pr 0.0000 0.0000 0.0000 [2 per cell]
Pr 0.0000 0.3335 0.0000 [4 per cell]
Dy 0.0000 0.1665 0.5000 [4 per cell]
Y 0.2459 0.3346 0.7433 [8 per cell]
Y 0.2498 0.0000 0.7434 [4 per cell]
Sc 0.0000 0.5000 0.5000 [2 per cell]

Largest 8 diffraction maxima, sorted by position, 10° ≤ 2θ ≤ 90°:
(1 3 1), 30.6°, d = 2.924 Å, intensity 100
(0 0 4), 30.7°, d = 2.911 Å, intensity 32
(2 0 2), 35.5°, d = 2.529 Å, intensity 66
(0 6 0), 51.0°, d = 1.792 Å, intensity 23
(1 3 5), 51.2°, d = 1.785 Å, intensity 23
(4 0 0), 60.6°, d = 1.527 Å, intensity 23
(0 6 4), 60.7°, d = 1.526 Å, intensity 18
(1 3 -7), 60.9°, d = 1.522 Å, intensity 13


Record 10
Starting from the PBE geometry in Alexandria, the powder diffraction line list of Pr4DySe7 was simulated for Cu Kα, 1.54184 Å.
No peak broadening, texture or thermal motion is included.

Structural model:
Unit cell a=13.8754 b=4.1153 c=12.5181 alpha=90.00 beta=104.99 gamma=90.00
Space group Cm (No. 8)
Unique sites:
Pr 0.0000 0.0000 0.0000 [2 per cell]
Pr 0.0867 0.5000 0.3815 [2 per cell]
Pr 0.1891 0.0000 0.7669 [2 per cell]
Pr 0.3872 0.5000 0.5714 [2 per cell]
Dy 0.2748 0.5000 0.1514 [2 per cell]
Se 0.0486 0.5000 0.6248 [2 per cell]
Se 0.1314 0.5000 0.9311 [2 per cell]
Se 0.1555 0.0000 0.2225 [2 per cell]
Se 0.2257 0.0000 0.5232 [2 per cell]
Se 0.3486 0.5000 0.7900 [2 per cell]
Se 0.3825 0.0000 0.0781 [2 per cell]
Se 0.4251 0.5000 0.3520 [2 per cell]

Largest 8 diffraction maxima, sorted by position, 10° ≤ 2θ ≤ 90°:
(2 0 2), 22.2°, d = 4.004 Å, intensity 76
(2 0 -3), 22.6°, d = 3.933 Å, intensity 92
(3 1 -1), 29.1°, d = 3.067 Å, intensity 100
(3 1 -2), 30.6°, d = 2.919 Å, intensity 99
(3 1 1), 31.7°, d = 2.822 Å, intensity 68
(3 1 -3), 33.8°, d = 2.654 Å, intensity 51
(6 0 -4), 43.7°, d = 2.072 Å, intensity 56
(0 2 0), 44.0°, d = 2.058 Å, intensity 59


Record 11
Starting from the PBE geometry in Alexandria, the powder diffraction line list of Pr2Dy3Se8 was simulated for Cu Kα, 1.54184 Å.
No peak broadening, texture or thermal motion is included.

Structural model:
Unit cell a=14.5432 b=8.3550 c=7.0792 alpha=90.00 beta=109.49 gamma=90.00
Space group C2/m (No. 12)
Unique sites:
Pr 0.2391 0.0000 0.1618 [4 per cell]
Dy 0.0000 0.2390 0.5000 [4 per cell]
Dy 0.0000 0.5000 0.0000 [2 per cell]
Se 0.1142 0.5000 0.4197 [4 per cell]
Se 0.1193 0.2640 0.9109 [8 per cell]
Se 0.1216 0.0000 0.4300 [4 per cell]

Largest 8 diffraction maxima, sorted by position, 10° ≤ 2θ ≤ 90°:
(1 1 1), 19.7°, d = 4.500 Å, intensity 52
(3 1 -1), 22.3°, d = 3.991 Å, intensity 36
(2 2 -1), 26.2°, d = 3.401 Å, intensity 55
(4 2 -1), 33.0°, d = 2.715 Å, intensity 100
(2 0 2), 33.6°, d = 2.670 Å, intensity 47
(4 2 1), 39.7°, d = 2.271 Å, intensity 93
(0 4 0), 43.3°, d = 2.089 Å, intensity 33
(2 2 -3), 44.1°, d = 2.055 Å, intensity 65


Record 12
Starting from the PBE geometry in Alexandria, the powder diffraction line list of PrSmDy2Se6 was simulated for Cu Kα, 1.54184 Å.
No peak broadening, texture or thermal motion is included.

Structural model:
Unit cell a=7.3413 b=7.3413 c=19.5715 alpha=90.00 beta=90.00 gamma=120.00
Space group R3 (No. 146, hexagonal axes)
Unique sites:
Pr 0.0000 0.0000 0.0000 [3 per cell]
Sm 0.0000 0.0000 0.4967 [3 per cell]
Dy 0.0000 0.0000 0.2971 [3 per cell]
Dy 0.0000 0.0000 0.7991 [3 per cell]
Se 0.0129 0.3102 0.8939 [9 per cell]
Se 0.0225 0.7126 0.3940 [9 per cell]

Largest 8 diffraction maxima, sorted by position, 10° ≤ 2θ ≤ 90°:
(0 1 2), 16.6°, d = 5.331 Å, intensity 44
(1 0 4), 22.9°, d = 3.878 Å, intensity 62
(1 1 0), 24.2°, d = 3.671 Å, intensity 42
(2 -1 3), 27.9°, d = 3.199 Å, intensity 64
(0 2 4), 33.6°, d = 2.666 Å, intensity 45
(2 -1 6), 36.9°, d = 2.438 Å, intensity 100
(3 -1 4), 41.9°, d = 2.157 Å, intensity 39
(3 0 0), 42.7°, d = 2.119 Å, intensity 67


Record 13
Starting from the PBE geometry in Alexandria, the powder diffraction line list of TbPr4Dy3Se8 was simulated for Cu Kα, 1.54184 Å.
No peak broadening, texture or thermal motion is included.

Structural model:
Unit cell a=8.2477 b=8.2477 c=20.9586 alpha=90.00 beta=90.00 gamma=120.00
Space group R-3m (No. 166, hexagonal axes)
Unique sites:
Tb 0.0000 0.0000 0.0000 [3 per cell]
Pr 0.0000 0.0000 0.5000 [3 per cell]
Pr 0.0000 0.5000 0.5000 [9 per cell]
Dy 0.0000 0.5000 0.0000 [9 per cell]
Se 0.0000 0.0000 0.2561 [6 per cell]
Se 0.0010 0.5005 0.2559 [18 per cell]

Largest 8 diffraction maxima, sorted by position, 10° ≤ 2θ ≤ 90°:
(2 0 2), 26.4°, d = 3.380 Å, intensity 13
(0 2 4), 30.3°, d = 2.951 Å, intensity 100
(2 0 8), 42.8°, d = 2.112 Å, intensity 38
(2 2 0), 43.9°, d = 2.062 Å, intensity 36
(4 0 4), 54.3°, d = 1.690 Å, intensity 19
(2 2 12), 70.7°, d = 1.333 Å, intensity 16
(2 4 4), 72.3°, d = 1.307 Å, intensity 16
(4 2 8), 80.0°, d = 1.200 Å, intensity 12